This entry pairs a crystal structure of LiNpSnF6 with its computed X-ray diffraction stick pattern. Radiation: λ = 1.5418 Å (Cu Kα). Structure: a structure optimized by DFT (GGA-PBE).
Lines closer than 0.1° are merged.

Structure:
a b c (Å): 5.7446 5.7446 10.2876
angles (deg): 90.00 90.00 120.00
Space group P-31c (No. 163)
Asymmetric unit:
Li 0.3333 0.6667 0.2500 x2
Np 0.3333 0.6667 0.7500 x2
Sn 0.0000 0.0000 0.0000 x2
F 0.0247 0.3604 0.1364 x12

Main lines, in order of falling intensity (2θ from 10° to 80°):
- d 4.479, 19.82 deg, intensity 100.0, (1 0 1)
- d 3.576, 24.90 deg, intensity 97.0, (1 0 2)
- d 1.916, 47.45 deg, intensity 51.2, (1 1 4)
- d 2.872, 31.14 deg, intensity 42.6, (1 1 0)
- d 2.823, 31.69 deg, intensity 36.9, (1 0 3)
- d 2.239, 40.27 deg, intensity 27.5, (2 0 2)
- d 1.766, 51.76 deg, intensity 27.4, (2 1 2)
- d 2.418, 37.19 deg, intensity 25.9, (2 0 1)
- d 1.850, 49.26 deg, intensity 22.3, (3 -1 1)
- d 1.658, 55.40 deg, intensity 19.8, (3 0 0)

---

This entry pairs a crystal structure of LiOF2 with its computed X-ray diffraction stick pattern. Radiation: λ = 1.5418 Å (Cu Kα). Structure: a structure optimized by DFT (GGA-PBE).
Lines closer than 0.1° are merged.

Structure:
a b c (Å): 5.329 3.045 5.543
angles (deg): 90.00 108.52 90.00
Space group P2_1/m (No. 11)
Asymmetric unit:
Li 0.245 0.250 0.005 x2
O 0.255 0.750 0.569 x2
F 0.031 0.750 0.807 x2
F 0.498 0.750 0.207 x2

Main lines, in order of falling intensity (2θ from 10° to 80°):
- d 2.197, 41.08 deg, intensity 100.0, (1 1 1)
- d 2.204, 40.94 deg, intensity 44.9, (2 0 -2)
- d 1.534, 60.33 deg, intensity 27.1, (3 1 -1)
- d 2.505, 35.84 deg, intensity 16.8, (1 1 -1)
- d 2.024, 44.77 deg, intensity 15.4, (1 1 -2)
- d 2.608, 34.39 deg, intensity 14.2, (1 1 0)
- d 1.522, 60.85 deg, intensity 14.0, (0 2 0)
- d 1.579, 58.45 deg, intensity 11.9, (1 1 -3)
- d 1.717, 53.37 deg, intensity 10.6, (2 0 -3)
- d 2.630, 34.10 deg, intensity 10.2, (0 0 2)

---

This entry pairs a crystal structure of LiOF5 with its computed X-ray diffraction stick pattern. Radiation: λ = 1.5418 Å (Cu Kα). Structure: a structure optimized by DFT (GGA-PBE).
Lines closer than 0.1° are merged.

Structure:
a b c (Å): 5.240 5.773 6.591
angles (deg): 111.10 98.09 103.74
Space group P-1 (No. 2)
Asymmetric unit:
Li 0.000 0.000 0.000 x1
Li 0.500 0.000 0.500 x1
O 0.086 0.301 0.757 x2
F 0.198 0.649 0.357 x2
F 0.219 0.212 0.492 x2
F 0.258 0.556 0.886 x2
F 0.272 0.104 0.854 x2
F 0.329 0.129 0.261 x2

Main lines, in order of falling intensity (2θ from 10° to 80°):
- d 2.887, 30.97 deg, intensity 100.0, (1 0 -2)
- d 2.465, 36.45 deg, intensity 74.2, (2 0 0)
- d 2.803, 31.93 deg, intensity 72.1, (0 2 -1)
- d 3.100, 28.80 deg, intensity 61.1, (1 1 0)
- d 2.027, 44.71 deg, intensity 60.9, (1 2 0)
- d 2.631, 34.07 deg, intensity 51.4, (1 -2 0)
- d 5.029, 17.64 deg, intensity 51.3, (0 1 -1)
- d 2.100, 43.07 deg, intensity 48.9, (2 -2 1)
- d 3.702, 24.04 deg, intensity 48.5, (1 -1 1)
- d 2.307, 39.04 deg, intensity 46.5, (1 0 2)

---

This entry pairs a crystal structure of Li3OF with its computed X-ray diffraction stick pattern. Radiation: λ = 1.5418 Å (Cu Kα). Structure: a structure optimized by DFT (GGA-PBE).
Lines closer than 0.1° are merged.

Structure:
a b c (Å): 9.324 9.324 9.324
angles (deg): 90.00 90.00 90.00
Space group Fd-3m (No. 227, origin choice 2)
Asymmetric unit:
Li 0.096 0.375 0.375 x48
O 0.000 0.000 0.000 x16
F 0.000 0.000 0.500 x16

Main lines, in order of falling intensity (2θ from 10° to 80°):
- d 2.692, 33.29 deg, intensity 100.0, (2 2 2)
- d 1.648, 55.77 deg, intensity 47.2, (4 4 0)
- d 1.406, 66.52 deg, intensity 23.1, (6 2 2)
- d 2.331, 38.63 deg, intensity 17.0, (4 0 0)
- d 3.297, 27.05 deg, intensity 3.8, (2 2 0)
- d 1.903, 47.79 deg, intensity 2.6, (4 2 2)
- d 1.794, 50.89 deg, intensity 2.6, (5 1 1)
- d 2.139, 42.25 deg, intensity 2.6, (3 3 1)
- d 1.346, 69.90 deg, intensity 2.2, (4 4 4)
- d 1.306, 72.38 deg, intensity 0.8, (5 5 1)

---

This entry pairs a crystal structure of Li5OF4 with its computed X-ray diffraction stick pattern. Radiation: λ = 1.5418 Å (Cu Kα). Structure: a structure optimized by DFT (GGA-PBE).
Lines closer than 0.1° are merged.

Structure:
a b c (Å): 6.466 6.466 4.182
angles (deg): 90.00 90.00 90.00
Space group I4/m (No. 87)
Asymmetric unit:
Li 0.000 0.000 0.000 x2
Li 0.100 0.300 0.500 x8
O 0.000 0.000 0.500 x2
F 0.094 0.296 0.000 x8

Main lines, in order of falling intensity (2θ from 10° to 80°):
- d 2.378, 37.83 deg, intensity 100.0, (2 1 1)
- d 2.045, 44.30 deg, intensity 90.1, (1 3 0)
- d 2.091, 43.27 deg, intensity 48.9, (0 0 2)
- d 1.462, 63.65 deg, intensity 47.9, (1 3 2)
- d 1.446, 64.44 deg, intensity 22.6, (4 2 0)
- d 1.235, 77.22 deg, intensity 10.5, (5 0 1)
- d 1.256, 75.75 deg, intensity 5.7, (2 1 3)
- d 3.511, 25.36 deg, intensity 1.4, (1 0 1)
- d 2.286, 39.42 deg, intensity 0.7, (2 2 0)

---

This entry pairs a crystal structure of Li2PO3F with its computed X-ray diffraction stick pattern. Radiation: λ = 1.5418 Å (Cu Kα). Structure: a structure optimized by DFT (GGA-PBE).
Lines closer than 0.1° are merged.

Structure:
a b c (Å): 5.5899 5.5899 14.9123
angles (deg): 90.00 90.00 120.00
Space group R-3m (No. 166, hexagonal axes)
Asymmetric unit:
Li 0.0000 0.0000 0.0000 x3
Li 0.0000 0.5000 0.5000 x9
P 0.0000 0.0000 0.3939 x6
O 0.0261 0.5130 0.2492 x18
F 0.0000 0.0000 0.2828 x6

Main lines, in order of falling intensity (2θ from 10° to 80°):
- d 4.604, 19.28 deg, intensity 100.0, (1 0 1)
- d 2.302, 39.13 deg, intensity 38.0, (2 0 2)
- d 2.795, 32.02 deg, intensity 35.9, (1 1 0)
- d 2.436, 36.90 deg, intensity 34.2, (1 1 3)
- d 2.954, 30.26 deg, intensity 33.2, (1 0 4)
- d 2.485, 36.14 deg, intensity 30.3, (0 0 6)
- d 1.397, 66.96 deg, intensity 27.3, (2 2 0)
- d 2.389, 37.65 deg, intensity 20.0, (0 2 1)
- d 2.030, 44.64 deg, intensity 19.7, (0 2 4)
- d 1.425, 65.49 deg, intensity 18.8, (1 0 10)